[1]
Starting from a crystal structure in Alexandria, relaxed with GGA-PBE, the powder X-ray diffraction pattern of Ac3Pm2Pr3 was calculated for Cu Kα X-rays.
Neutral-atom scattering factors, no anomalous dispersion.

Largest 6 diffraction maxima, by angle, 2θ from 5° to 70°:
| 2theta | I_rel |
| --- | --- |
| 28.77 | 100 |
| 33.12 | 17 |
| 33.30 | 17 |
| 33.60 | 17 |
| 56.52 | 15 |
| 57.15 | 15 |

Atomic structure:
a b c (Å): 11.4133 11.4133 11.4133
angles (deg): 152.97 152.58 38.88
Fractional coordinates of all 8 atoms:
Ac (0.0000, 0.0000, 0.0000)
Ac (0.3723, 0.8723, 0.5000)
Ac (0.6277, 0.1277, 0.5000)
Pm (0.2492, 0.2492, 0.0000)
Pm (0.7508, 0.7508, 0.0000)
Pr (0.1295, 0.6295, 0.5000)
Pr (0.5000, 0.5000, 0.0000)
Pr (0.8705, 0.3705, 0.5000)

=====

[2]
Starting from a crystal structure in Alexandria, relaxed with GGA-PBE, the powder X-ray diffraction pattern of Tl2CoRe2 was calculated for Cu Kα X-rays.
Neutral-atom scattering factors, no anomalous dispersion.

Largest 6 diffraction maxima, by angle, 2θ from 5° to 70°:
| 2theta | I_rel |
| --- | --- |
| 10.45 | 46 |
| 26.03 | 57 |
| 31.70 | 53 |
| 36.95 | 71 |
| 37.92 | 100 |
| 42.34 | 87 |

Atomic structure:
a b c (Å): 8.8207 8.8207 8.8207
angles (deg): 157.14 157.14 32.55
Fractional coordinates of all 5 atoms:
Tl (0.0976, 0.0976, 0.0000)
Tl (0.9024, 0.9024, 0.0000)
Co (0.5000, 0.5000, 0.0000)
Re (0.2500, 0.7500, 0.5000)
Re (0.7500, 0.2500, 0.5000)

=====

[3]
Starting from a crystal structure in Alexandria, relaxed with GGA-PBE, the powder X-ray diffraction pattern of Na3MgCd12 was calculated for Cu Kα X-rays.
Neutral-atom scattering factors, no anomalous dispersion.

Largest 6 diffraction maxima, by angle, 2θ from 5° to 70°:
| 2theta | I_rel |
| --- | --- |
| 19.44 | 12 |
| 34.26 | 100 |
| 39.46 | 34 |
| 40.38 | 15 |
| 57.74 | 20 |
| 68.25 | 25 |

Atomic structure:
a b c (Å): 4.5669 4.5669 17.8697
angles (deg): 90.00 90.00 90.00
Fractional coordinates of all 16 atoms:
Na (0.0000, 0.0000, 0.0000)
Na (0.0000, 0.0000, 0.2546)
Na (0.0000, 0.0000, 0.7454)
Mg (0.0000, 0.0000, 0.5000)
Cd (0.0000, 0.5000, 0.1279)
Cd (0.0000, 0.5000, 0.3805)
Cd (0.0000, 0.5000, 0.6195)
Cd (0.0000, 0.5000, 0.8721)
Cd (0.5000, 0.0000, 0.1279)
Cd (0.5000, 0.0000, 0.3805)
Cd (0.5000, 0.0000, 0.6195)
Cd (0.5000, 0.0000, 0.8721)
Cd (0.5000, 0.5000, 0.0000)
Cd (0.5000, 0.5000, 0.2572)
Cd (0.5000, 0.5000, 0.5000)
Cd (0.5000, 0.5000, 0.7428)

=====

[4]
Starting from a crystal structure in Alexandria, relaxed with GGA-PBE, the powder X-ray diffraction pattern of Pm2Nd2HoTm was calculated for Cu Kα X-rays.
Neutral-atom scattering factors, no anomalous dispersion.

Largest 6 diffraction maxima, by angle, 2θ from 5° to 70°:
| 2theta | I_rel |
| --- | --- |
| 31.13 | 93 |
| 31.40 | 100 |
| 44.80 | 34 |
| 55.73 | 35 |
| 55.90 | 19 |
| 61.77 | 29 |

Atomic structure:
a b c (Å): 7.0688 5.6967 9.8709
angles (deg): 90.00 90.00 90.00
Fractional coordinates of all 12 atoms:
Pm (0.2500, 0.0000, 0.1630)
Pm (0.2500, 0.5000, 0.6687)
Pm (0.7500, 0.0000, 0.8370)
Pm (0.7500, 0.5000, 0.3313)
Nd (0.0000, 0.5000, 0.0000)
Nd (0.2500, 0.0000, 0.8219)
Nd (0.5000, 0.5000, 0.0000)
Nd (0.7500, 0.0000, 0.1781)
Ho (0.2500, 0.5000, 0.3420)
Ho (0.7500, 0.5000, 0.6580)
Tm (0.0000, 0.0000, 0.5000)
Tm (0.5000, 0.0000, 0.5000)

=====

[5]
Starting from a crystal structure in Alexandria, relaxed with GGA-PBE, the powder X-ray diffraction pattern of K2RbGaHg was calculated for Cu Kα X-rays.
Neutral-atom scattering factors, no anomalous dispersion.

Largest 6 diffraction maxima, by angle, 2θ from 5° to 70°:
| 2theta | I_rel |
| --- | --- |
| 13.09 | 82 |
| 18.56 | 85 |
| 24.90 | 100 |
| 26.36 | 97 |
| 42.92 | 52 |
| 45.64 | 38 |

Atomic structure:
a b c (Å): 6.7619 6.7619 5.3891
angles (deg): 90.00 90.00 90.00
Fractional coordinates of all 5 atoms:
K (0.0000, 0.5000, 0.0000)
K (0.5000, 0.0000, 0.0000)
Rb (0.0000, 0.0000, 0.5000)
Ga (0.5000, 0.5000, 0.0000)
Hg (0.5000, 0.5000, 0.5000)